Simulated X-ray diffraction stick pattern of Tl3O2F for Cu Kα, 1.54184 Å, from the PBE geometry in Alexandria.

Crystal structure
a = 12.545 Å, b = 5.746 Å, c = 6.932 Å
α = 90.00°, β = 106.48°, γ = 90.00°
Space group C2/c (No. 15)
Symmetry-distinct sites (fractional):
Tl 0.000 0.003 0.250 [4 per cell]
Tl 0.173 0.486 0.587 [8 per cell]
O 0.119 0.066 0.528 [8 per cell]
F 0.000 0.430 0.750 [4 per cell]

Main lines, sorted by position (2θ = 10–80°):
| hkl | d_spacing | I (rel.) |
| --- | --- | --- |
| 3 1 0 | 3.288 | 100 |
| 1 1 -2 | 2.968 | 75 |
| 0 2 0 | 2.873 | 45 |
| 4 0 -2 | 2.632 | 38 |
| 2 0 2 | 2.612 | 35 |
| 4 2 -2 | 1.941 | 29 |
| 2 2 2 | 1.933 | 27 |
| 3 3 0 | 1.728 | 17 |
| 5 1 2 | 1.656 | 16 |
| 6 2 0 | 1.644 | 16 |